Diffraction record for Ti2NiHg2Se6. The PXRD pattern is simulated, not measured: it uses a GGA-PBE-relaxed structure and Cu Kα (λ = 1.5418 Å).

Principal peaks in the range 2θ from 10° to 80°, in order of rising 2θ:
2θ = 16.72°, d = 5.303 Å, I 48, hkl 0 2 0
2θ = 19.22°, d = 4.618 Å, I 100, hkl 0 2 1
2θ = 25.33°, d = 3.516 Å, I 44, hkl 0 2 2
2θ = 28.51°, d = 3.131 Å, I 55, hkl 0 0 3
2θ = 30.80°, d = 2.903 Å, I 44, hkl 2 0 0
2θ = 33.20°, d = 2.698 Å, I 72, hkl 1 3 -2

Structural model:
```
data_Ti2NiHg2Se6
_chemical_formula_sum 'Ti4 Ni2 Hg4 Se12'
_cell_length_a 5.9841
_cell_length_b 10.6061
_cell_length_c 9.6820
_cell_angle_alpha 90.00
_cell_angle_beta 104.03
_cell_angle_gamma 90.00
_symmetry_space_group_name_H-M 'C 1 2/m 1'
_symmetry_Int_Tables_number 12
_symmetry_space_group_name_Hall '-C 2y'
loop_
_atom_site_label
_atom_site_type_symbol
_atom_site_fract_x
_atom_site_fract_y
_atom_site_fract_z
Ti1 Ti 0.0000 0.1641 0.0000
Ni1 Ni 0.0000 0.5000 0.0000
Hg1 Hg 0.0000 0.2498 0.5000
Se1 Se 0.0939 0.3392 0.8398
Se2 Se 0.1142 0.0000 0.8368
```

---

Diffraction record for CaNd3Hg2. The PXRD pattern is simulated, not measured: it uses a GGA-PBE-relaxed structure and Cu Kα (λ = 1.5418 Å).

Principal peaks in the range 2θ from 10° to 80°, in order of rising 2θ:
2θ = 29.97°, d = 2.981 Å, I 24, hkl 1 0 2
2θ = 31.04°, d = 2.881 Å, I 26, hkl 0 2 2
2θ = 31.42°, d = 2.847 Å, I 86, hkl 1 1 2
2θ = 32.61°, d = 2.746 Å, I 100, hkl 1 3 0
2θ = 33.68°, d = 2.661 Å, I 60, hkl 2 0 0
2θ = 41.36°, d = 2.183 Å, I 37, hkl 1 3 2

Structural model:
```
data_CaNd3Hg2
_chemical_formula_sum 'Ca2 Nd6 Hg4'
_cell_length_a 5.3225
_cell_length_b 9.6151
_cell_length_c 7.1972
_cell_angle_alpha 90.00
_cell_angle_beta 90.00
_cell_angle_gamma 90.00
_symmetry_space_group_name_H-M 'P m c 21'
_symmetry_Int_Tables_number 26
_symmetry_space_group_name_Hall 'P 2c -2'
loop_
_atom_site_label
_atom_site_type_symbol
_atom_site_fract_x
_atom_site_fract_y
_atom_site_fract_z
Ca1 Ca 0.0000 0.0530 0.0000
Nd1 Nd 0.0000 0.3299 0.6586
Nd2 Nd 0.5000 0.1687 0.3126
Nd3 Nd 0.5000 0.4435 0.9780
Hg1 Hg 0.0000 0.3456 0.2242
Hg2 Hg 0.5000 0.1525 0.7487
```

---

Diffraction record for MgTl4In7. The PXRD pattern is simulated, not measured: it uses a GGA-PBE-relaxed structure and Cu Kα (λ = 1.5418 Å).

Principal peaks in the range 2θ from 10° to 80°, in order of rising 2θ:
2θ = 32.20°, d = 2.780 Å, I 100, hkl 1 0 4
2θ = 32.46°, d = 2.758 Å, I 27, hkl 0 0 12
2θ = 37.43°, d = 2.403 Å, I 63, hkl 0 1 8
2θ = 53.80°, d = 1.704 Å, I 24, hkl 1 1 0
2θ = 54.14°, d = 1.694 Å, I 16, hkl 1 0 16
2θ = 64.25°, d = 1.450 Å, I 22, hkl 1 1 12

Structural model:
```
data_MgTl4In7
_chemical_formula_sum 'Mg1 Tl4 In7'
_cell_length_a 3.4082
_cell_length_b 3.4082
_cell_length_c 33.0979
_cell_angle_alpha 90.00
_cell_angle_beta 90.00
_cell_angle_gamma 120.00
_symmetry_space_group_name_H-M 'P -3 m 1'
_symmetry_Int_Tables_number 164
_symmetry_space_group_name_Hall '-P 3 2"'
loop_
_atom_site_label
_atom_site_type_symbol
_atom_site_fract_x
_atom_site_fract_y
_atom_site_fract_z
Mg1 Mg 0.0000 0.0000 0.0000
Tl1 Tl 0.3333 0.6667 0.1587
Tl2 Tl 0.3333 0.6667 0.4141
In1 In 0.0000 0.0000 0.2458
In2 In 0.0000 0.0000 0.5000
In3 In 0.3333 0.6667 0.6721
In4 In 0.3333 0.6667 0.9256
```